No. 1
Structure and computed PXRD pattern of Na15SnGe8P (a cell relaxed with GGA-PBE; Cu Kα, 1.54184 Å).

Crystal structure
```
Na15SnGe8P
1.0
8.795 -6.434 0.000
8.795 6.434 0.000
0.000 0.000 11.251
Na Sn Ge P
30 2 16 2
Direct
0.043 0.217 0.616
0.043 0.217 0.884
0.070 0.930 0.750
0.179 0.442 0.002
0.179 0.442 0.498
0.217 0.043 0.116
0.217 0.043 0.384
0.250 0.750 0.004
0.250 0.750 0.496
0.268 0.564 0.250
0.303 0.512 0.750
0.436 0.732 0.250
0.442 0.179 0.502
0.442 0.179 0.998
0.488 0.697 0.750
0.512 0.303 0.250
0.558 0.821 0.002
0.558 0.821 0.498
0.564 0.268 0.750
0.697 0.488 0.250
0.732 0.436 0.750
0.750 0.250 0.504
0.750 0.250 0.996
0.783 0.957 0.616
0.783 0.957 0.884
0.821 0.558 0.502
0.821 0.558 0.998
0.930 0.070 0.250
0.957 0.783 0.116
0.957 0.783 0.384
0.500 0.500 0.000
0.500 0.500 0.500
0.005 0.487 0.750
0.016 0.690 0.636
0.016 0.690 0.864
0.199 0.304 0.250
0.304 0.199 0.750
0.310 0.984 0.636
0.310 0.984 0.864
0.487 0.005 0.250
0.513 0.995 0.750
0.690 0.016 0.136
0.690 0.016 0.364
0.696 0.801 0.250
0.801 0.696 0.750
0.984 0.310 0.136
0.984 0.310 0.364
0.995 0.513 0.250
0.155 0.845 0.250
0.845 0.155 0.750
```

Largest 10 diffraction maxima, low angle first, 10° ≤ 2θ ≤ 80°:
d (Å)	2theta	I (rel.)
8.795	10.1	52
5.585	15.9	46
5.336	16.6	46
4.821	18.4	41
4.732	18.8	96
2.662	33.7	78
2.598	34.5	100
2.530	35.5	63
2.369	38.0	80
2.183	41.4	45


No. 2
Structure and computed PXRD pattern of NaSnGePb (a cell relaxed with GGA-PBE; Cu Kα, 1.54184 Å).

Crystal structure
```
NaSnGePb
1.0
0.000 3.719 3.719
3.719 0.000 3.719
3.719 3.719 0.000
Na Sn Ge Pb
1 1 1 1
Direct
0.000 0.000 0.000
0.750 0.750 0.750
0.500 0.500 0.500
0.250 0.250 0.250
```

Largest 10 diffraction maxima, low angle first, 10° ≤ 2θ ≤ 80°:
d (Å)	2theta	I (rel.)
4.295	20.7	12
3.719	23.9	34
2.630	34.1	100
2.243	40.2	7
2.147	42.1	11
1.860	49.0	18
1.663	55.2	15
1.518	61.0	38
1.315	71.8	12
1.240	76.9	8


No. 3
Structure and computed PXRD pattern of NaGeTe4Pb2 (a cell relaxed with GGA-PBE; Cu Kα, 1.54184 Å).

Crystal structure
```
NaGeTe4Pb2
1.0
-4.451 4.501 6.319
4.451 -4.501 6.319
4.451 4.501 -6.319
Na Ge Te Pb
2 2 8 4
Direct
0.500 0.000 0.000
0.500 0.500 0.500
0.000 0.000 0.000
0.500 0.000 0.500
0.242 0.240 0.003
0.252 0.234 0.481
0.252 0.771 0.019
0.263 0.760 0.503
0.737 0.240 0.497
0.748 0.229 0.981
0.748 0.766 0.519
0.758 0.760 0.997
0.000 0.000 0.500
0.000 0.500 0.000
0.000 0.500 0.500
0.500 0.500 0.000
```

Largest 10 diffraction maxima, low angle first, 10° ≤ 2θ ≤ 80°:
d (Å)	2theta	I (rel.)
7.323	12.1	16
3.806	23.4	9
3.163	28.2	100
2.251	40.1	13
2.236	40.3	51
2.225	40.5	12
1.833	49.7	14
1.819	50.1	13
1.414	66.1	23
1.287	73.6	12


No. 4
Structure and computed PXRD pattern of Na3Ge5Pd6 (a cell relaxed with GGA-PBE; Cu Kα, 1.54184 Å).

Crystal structure
```
Na3Ge5Pd6
1.0
4.185 0.000 0.000
0.000 13.164 0.000
0.000 0.000 9.138
Na Ge Pd
6 10 12
Direct
0.250 0.072 0.247
0.250 0.428 0.247
0.250 0.750 0.244
0.750 0.250 0.756
0.750 0.572 0.753
0.750 0.928 0.753
0.250 0.088 0.861
0.250 0.412 0.861
0.250 0.634 0.527
0.250 0.750 0.824
0.250 0.866 0.527
0.750 0.134 0.473
0.750 0.250 0.176
0.750 0.366 0.473
0.750 0.588 0.139
0.750 0.912 0.139
0.250 0.052 0.591
0.250 0.250 0.014
0.250 0.250 0.471
0.250 0.448 0.591
0.250 0.586 0.987
0.250 0.914 0.987
0.750 0.086 0.013
0.750 0.414 0.013
0.750 0.552 0.409
0.750 0.750 0.529
0.750 0.750 0.986
0.750 0.948 0.409
```

Largest 10 diffraction maxima, low angle first, 10° ≤ 2θ ≤ 80°:
d (Å)	2theta	I (rel.)
4.569	19.4	91
3.805	23.4	26
2.524	35.6	100
2.307	39.0	24
2.229	40.5	23
2.194	41.1	29
2.165	41.7	31
2.093	43.2	53
2.004	45.3	25
1.824	50.0	50


No. 5
Structure and computed PXRD pattern of Na2Ge4Pd3 (a cell relaxed with GGA-PBE; Cu Kα, 1.54184 Å).

Crystal structure
```
Na2Ge4Pd3
1.0
0.000 4.917 6.151
2.819 0.000 6.151
2.819 4.917 0.000
Na Ge Pd
2 4 3
Direct
0.126 0.126 0.874
0.874 0.874 0.126
0.162 0.513 0.487
0.487 0.838 0.162
0.513 0.162 0.838
0.838 0.487 0.513
0.000 0.000 0.500
0.500 0.500 0.000
0.500 0.500 0.500
```

Largest 10 diffraction maxima, low angle first, 10° ≤ 2θ ≤ 80°:
d (Å)	2theta	I (rel.)
6.151	14.4	54
4.917	18.0	51
4.545	19.5	63
2.331	38.6	100
2.283	39.5	32
2.273	39.7	79
2.050	44.2	34
1.914	47.5	41
1.515	61.2	25
1.417	65.9	22


No. 6
Structure and computed PXRD pattern of NaGe12Pd4 (a cell relaxed with GGA-PBE; Cu Kα, 1.54184 Å).

Crystal structure
```
NaGe12Pd4
1.0
-4.372 4.372 4.372
4.372 -4.372 4.372
4.372 4.372 -4.372
Na Ge Pd
1 12 4
Direct
0.000 0.000 0.000
0.149 0.502 0.353
0.149 0.796 0.647
0.204 0.353 0.851
0.353 0.149 0.502
0.353 0.851 0.204
0.498 0.647 0.851
0.502 0.353 0.149
0.647 0.149 0.796
0.647 0.851 0.498
0.796 0.647 0.149
0.851 0.204 0.353
0.851 0.498 0.647
0.000 0.000 0.500
0.000 0.500 0.000
0.500 0.000 0.000
0.500 0.500 0.500
```

Largest 10 diffraction maxima, low angle first, 10° ≤ 2θ ≤ 80°:
d (Å)	2theta	I (rel.)
4.372	20.3	25
3.091	28.9	26
2.765	32.4	100
2.337	38.5	27
1.955	46.4	65
1.785	51.2	42
1.715	53.4	38
1.382	67.8	13
1.289	73.5	12
1.262	75.3	13